This entry pairs a crystal structure of CaMg6Bi with its simulated powder X-ray diffraction pattern. Radiation: a wavelength of 1.5418 Å. Structure: DFT lattice parameters and positions (GGA-PBE).

Top 10 peaks for 2θ = 15–90°, by angle:
| 2θ/deg | I/Imax |
| --- | --- |
| 15.1 | 100 |
| 15.4 | 38 |
| 22.7 | 69 |
| 22.9 | 41 |
| 30.6 | 35 |
| 31.7 | 39 |
| 34.0 | 34 |
| 35.1 | 98 |
| 35.6 | 49 |
| 66.3 | 34 |

Cell and atoms:
```
CaMg6Bi
1.0
5.2741 0.0000 0.0000
0.0000 3.4012 5.7409
0.0000 -3.4012 5.7409
Ca Mg Bi
1 6 1
Direct
0.0000 0.0000 0.0000
0.0000 0.0060 0.4905
0.0000 0.4905 0.0060
0.0000 0.5060 0.5060
0.5000 0.3367 0.3367
0.5000 0.3514 0.8273
0.5000 0.8273 0.3514
0.5000 0.8347 0.8347
```

---

This entry pairs a crystal structure of CaMg6BiO8 with its simulated powder X-ray diffraction pattern. Radiation: a wavelength of 1.5418 Å. Structure: DFT lattice parameters and positions (GGA-PBE).

Top 10 peaks for 2θ = 15–90°, by angle:
| 2θ/deg | I/Imax |
| --- | --- |
| 19.3 | 80 |
| 19.6 | 39 |
| 21.6 | 81 |
| 27.4 | 35 |
| 27.6 | 69 |
| 29.1 | 43 |
| 33.9 | 75 |
| 39.1 | 100 |
| 39.7 | 47 |
| 57.0 | 60 |

Cell and atoms:
```
CaMg6BiO8
1.0
4.6051 0.0000 0.0000
0.0000 4.6051 0.0000
0.0000 0.0000 9.0797
Ca Mg Bi O
1 6 1 8
Direct
0.0000 0.0000 0.0000
0.0000 0.5000 0.2401
0.0000 0.5000 0.7599
0.5000 0.0000 0.2401
0.5000 0.0000 0.7599
0.5000 0.5000 0.0000
0.5000 0.5000 0.5000
0.0000 0.0000 0.5000
0.0000 0.0000 0.2430
0.0000 0.0000 0.7570
0.0000 0.5000 0.0000
0.0000 0.5000 0.5000
0.5000 0.0000 0.0000
0.5000 0.0000 0.5000
0.5000 0.5000 0.2499
0.5000 0.5000 0.7501
```

---

This entry pairs a crystal structure of CaMg6BiO8 with its simulated powder X-ray diffraction pattern. Radiation: a wavelength of 1.5418 Å. Structure: DFT lattice parameters and positions (GGA-PBE).

Top 10 peaks for 2θ = 15–90°, by angle:
| 2θ/deg | I/Imax |
| --- | --- |
| 18.8 | 52 |
| 19.7 | 54 |
| 21.8 | 82 |
| 27.3 | 53 |
| 28.3 | 37 |
| 29.5 | 67 |
| 33.9 | 79 |
| 38.0 | 48 |
| 39.9 | 100 |
| 56.3 | 56 |

Cell and atoms:
```
CaMg6BiO8
1.0
4.5166 0.0000 0.0000
0.0000 4.5166 0.0000
0.0000 0.0000 9.4616
Ca Mg Bi O
1 6 1 8
Direct
0.0000 0.0000 0.0000
0.0000 0.0000 0.5000
0.0000 0.5000 0.2815
0.0000 0.5000 0.7185
0.5000 0.0000 0.2815
0.5000 0.0000 0.7185
0.5000 0.5000 0.5000
0.5000 0.5000 0.0000
0.0000 0.0000 0.2694
0.0000 0.0000 0.7306
0.0000 0.5000 0.0000
0.0000 0.5000 0.5000
0.5000 0.0000 0.0000
0.5000 0.0000 0.5000
0.5000 0.5000 0.2876
0.5000 0.5000 0.7124
```

---

This entry pairs a crystal structure of CaPrMgBiO6 with its simulated powder X-ray diffraction pattern. Radiation: a wavelength of 1.5418 Å. Structure: DFT lattice parameters and positions (GGA-PBE).

Top 10 peaks for 2θ = 15–90°, by angle:
| 2θ/deg | I/Imax |
| --- | --- |
| 18.9 | 61 |
| 31.1 | 100 |
| 36.6 | 38 |
| 44.5 | 33 |
| 48.8 | 18 |
| 55.3 | 41 |
| 59.0 | 13 |
| 64.8 | 20 |
| 68.2 | 13 |
| 73.6 | 18 |

Cell and atoms:
```
CaPrMgBiO6
1.0
0.0000 4.0685 4.0685
4.0685 0.0000 4.0685
4.0685 4.0685 0.0000
Ca Pr Mg Bi O
1 1 1 1 6
Direct
0.0000 0.0000 0.0000
0.5000 0.5000 0.5000
0.7500 0.7500 0.7500
0.2500 0.2500 0.2500
0.5043 0.5043 0.9957
0.5043 0.9957 0.5043
0.5043 0.9957 0.9957
0.9957 0.5043 0.5043
0.9957 0.5043 0.9957
0.9957 0.9957 0.5043
```

---

This entry pairs a crystal structure of CaMn2Bi2 with its simulated powder X-ray diffraction pattern. Radiation: a wavelength of 1.5418 Å. Structure: DFT lattice parameters and positions (GGA-PBE).

Top 10 peaks for 2θ = 15–90°, by angle:
| 2θ/deg | I/Imax |
| --- | --- |
| 22.2 | 36 |
| 23.0 | 30 |
| 25.0 | 100 |
| 32.2 | 42 |
| 38.9 | 57 |
| 41.7 | 55 |
| 45.7 | 31 |
| 46.8 | 20 |
| 58.4 | 21 |
| 72.4 | 22 |

Cell and atoms:
```
CaMn2Bi2
1.0
4.6264 0.0000 0.0000
-2.3132 4.0066 0.0000
0.0000 0.0000 7.7288
Ca Mn Bi
1 2 2
Direct
0.0000 0.0000 0.0000
0.3333 0.6667 0.3793
0.6667 0.3333 0.6207
0.3333 0.6667 0.7512
0.6667 0.3333 0.2488
```

---

This entry pairs a crystal structure of Ca2BiN3 with its simulated powder X-ray diffraction pattern. Radiation: a wavelength of 1.5418 Å. Structure: DFT lattice parameters and positions (GGA-PBE).

Top 10 peaks for 2θ = 15–90°, by angle:
| 2θ/deg | I/Imax |
| --- | --- |
| 15.1 | 70 |
| 22.6 | 100 |
| 30.0 | 43 |
| 30.6 | 17 |
| 31.4 | 82 |
| 33.8 | 17 |
| 35.1 | 31 |
| 43.4 | 30 |
| 44.3 | 25 |
| 54.2 | 18 |

Cell and atoms:
```
Ca2BiN3
1.0
2.9770 -5.8586 0.0000
2.9770 5.8586 0.0000
0.0000 0.0000 11.6734
Ca Bi N
8 4 12
Direct
0.0250 0.9750 0.8532
0.1254 0.8746 0.4181
0.3746 0.6254 0.9181
0.4750 0.5250 0.3532
0.5250 0.4750 0.6468
0.6254 0.3746 0.0819
0.8746 0.1254 0.5819
0.9750 0.0250 0.1468
0.2453 0.7547 0.6535
0.2547 0.7453 0.1535
0.7453 0.2547 0.8465
0.7547 0.2453 0.3465
0.0653 0.9347 0.6440
0.0890 0.4110 0.7500
0.1517 0.8483 0.0054
0.3483 0.6517 0.5054
0.4110 0.0890 0.2500
0.4347 0.5653 0.1440
0.5653 0.4347 0.8560
0.5890 0.9110 0.7500
0.6517 0.3483 0.4946
0.8483 0.1517 0.9946
0.9110 0.5890 0.2500
0.9347 0.0653 0.3560
```

---

This entry pairs a crystal structure of Ca3Bi2N4 with its simulated powder X-ray diffraction pattern. Radiation: a wavelength of 1.5418 Å. Structure: DFT lattice parameters and positions (GGA-PBE).

Top 10 peaks for 2θ = 15–90°, by angle:
| 2θ/deg | I/Imax |
| --- | --- |
| 16.3 | 61 |
| 19.1 | 27 |
| 22.6 | 72 |
| 25.7 | 49 |
| 28.6 | 94 |
| 29.7 | 100 |
| 30.0 | 51 |
| 34.8 | 66 |
| 35.8 | 51 |
| 42.3 | 35 |

Cell and atoms:
```
Ca3Bi2N4
1.0
5.5100 -5.9542 0.0000
5.5100 5.9542 0.0000
-0.8801 0.0000 5.2237
Ca Bi N
6 4 8
Direct
0.1857 0.8143 0.7500
0.2983 0.4829 0.4368
0.4829 0.2983 0.9368
0.5171 0.7017 0.0632
0.7017 0.5171 0.5632
0.8143 0.1857 0.2500
0.0843 0.2933 0.8402
0.2933 0.0843 0.3402
0.7067 0.9157 0.6598
0.9157 0.7067 0.1598
0.0907 0.2528 0.4131
0.2528 0.0907 0.9131
0.2800 0.5040 0.9245
0.4960 0.7200 0.5755
0.5040 0.2800 0.4245
0.7200 0.4960 0.0755
0.7472 0.9093 0.0869
0.9093 0.7472 0.5869
```